The following is a theoretical XRD peak list of MgAg2P2O9. It was derived from DFT lattice parameters and positions (PBE), using copper Kα.
Intensities are scaled so that the largest is 100.

Peak list (10 most intense, 2θ from 10° to 90°, in order of rising 2θ)
- hkl 2 0 0, 11.13 deg, rel. 38
- hkl 2 0 1, 16.98 deg, rel. 56
- hkl 0 1 1, 18.67 deg, rel. 22
- hkl 3 0 1, 21.11 deg, rel. 55
- hkl 1 0 2, 26.35 deg, rel. 58
- hkl 1 2 1, 30.79 deg, rel. 100
- hkl 5 0 1, 30.95 deg, rel. 64
- hkl 2 2 1, 32.33 deg, rel. 22
- hkl 6 2 0, 44.00 deg, rel. 28
- hkl 5 2 3, 56.78 deg, rel. 25

Crystal structure
abc: 15.894 6.534 6.924
angles: 90.00 90.00 90.00
Fractional coordinates of all 56 atoms:
Mg: 0.225 0.250 0.112
Mg: 0.275 0.750 0.612
Mg: 0.725 0.250 0.388
Mg: 0.775 0.750 0.888
Ag: 0.000 0.000 0.000
Ag: 0.000 0.500 0.000
Ag: 0.119 0.250 0.630
Ag: 0.381 0.750 0.130
Ag: 0.500 0.000 0.500
Ag: 0.500 0.500 0.500
Ag: 0.619 0.250 0.870
Ag: 0.881 0.750 0.370
P: 0.079 0.750 0.616
P: 0.207 0.750 0.114
P: 0.293 0.250 0.614
P: 0.421 0.250 0.116
P: 0.579 0.750 0.884
P: 0.707 0.750 0.386
P: 0.793 0.250 0.886
P: 0.921 0.250 0.384
O: 0.021 0.750 0.443
O: 0.022 0.750 0.802
O: 0.060 0.250 0.891
O: 0.144 0.574 0.623
O: 0.144 0.926 0.623
O: 0.159 0.546 0.107
O: 0.159 0.954 0.107
O: 0.227 0.250 0.437
O: 0.238 0.250 0.805
O: 0.262 0.750 0.305
O: 0.273 0.750 0.937
O: 0.341 0.046 0.607
O: 0.341 0.454 0.607
O: 0.356 0.074 0.123
O: 0.356 0.426 0.123
O: 0.440 0.750 0.391
O: 0.478 0.250 0.302
O: 0.479 0.250 0.943
O: 0.521 0.750 0.057
O: 0.522 0.750 0.698
O: 0.560 0.250 0.609
O: 0.644 0.574 0.877
O: 0.644 0.926 0.877
O: 0.659 0.546 0.393
O: 0.659 0.954 0.393
O: 0.727 0.250 0.063
O: 0.738 0.250 0.695
O: 0.762 0.750 0.195
O: 0.773 0.750 0.563
O: 0.841 0.046 0.893
O: 0.841 0.454 0.893
O: 0.856 0.074 0.377
O: 0.856 0.426 0.377
O: 0.940 0.750 0.109
O: 0.978 0.250 0.198
O: 0.979 0.250 0.557